Computed PXRD pattern of K2RbCeCl6 for Cu Kα, 1.54184 Å, from a structure optimized by DFT (PBE).

Atomic structure:
a b c (Å): 8.2736 8.2736 8.2736
angles (deg): 60.00 60.00 60.00
Element x y z (fractional)
1 K 0.2500 0.2500 0.2500
2 K 0.7500 0.7500 0.7500
3 Rb 0.0000 0.0000 0.0000
4 Ce 0.5000 0.5000 0.5000
5 Cl 0.2658 0.2658 0.7342
6 Cl 0.2658 0.7342 0.2658
7 Cl 0.2658 0.7342 0.7342
8 Cl 0.7342 0.2658 0.2658
9 Cl 0.7342 0.2658 0.7342
10 Cl 0.7342 0.7342 0.2658

Peak list (10 most intense, 10 to 90 degrees two-theta, in order of rising 2θ)
d_spacing  I_rel
5.850  96.3
4.137  100.0
2.925  99.8
2.616  48.3
2.388  45.2
2.068  67.0
1.950  25.1
1.850  23.6
1.564  26.1
1.308  26.1